Entry 1:
Theoretical powder X-ray diffraction pattern
Compound: Na2ZnGe2Se6
Radiation: copper Kα
Structure: DFT lattice parameters and positions (PBE)
No peak broadening, texture or thermal motion is included.

Crystal structure
```
Na2ZnGe2Se6
1.0
-3.974 3.974 9.526
3.974 -3.974 9.526
3.974 3.974 -9.526
Na Zn Ge Se
4 2 4 12
Cartesian
0.000 0.000 2.237
0.000 0.000 7.289
0.000 0.000 11.763
0.000 0.000 16.814
3.974 0.000 4.763
0.000 3.974 4.763
3.974 0.000 1.618
3.974 0.000 7.907
0.000 3.974 1.618
0.000 3.974 7.907
2.650 1.324 -3.073
5.261 1.287 0.000
2.650 -1.324 6.453
2.650 1.324 3.073
1.287 2.687 0.000
2.650 -1.324 12.599
1.324 5.298 -3.073
2.687 1.287 9.526
1.324 2.650 6.453
1.324 5.298 3.073
-1.287 2.687 9.526
1.324 2.650 12.599
```

Principal peaks in the range 10 to 90 degrees two-theta, by angle:
2θ (°)	intensity
15.8	73
28.8	100
31.8	22
36.2	45
46.1	42
48.6	19
49.4	20
50.2	20

***

Entry 2:
Theoretical powder X-ray diffraction pattern
Compound: Na4Ge2Te5
Radiation: copper Kα
Structure: DFT lattice parameters and positions (PBE)
No peak broadening, texture or thermal motion is included.

Crystal structure
```
Na4Ge2Te5
1.0
8.007 0.000 0.000
3.701 9.027 0.000
3.571 2.887 9.830
Na Ge Te
8 4 10
Cartesian
2.991 3.766 4.735
1.914 0.684 0.843
4.190 5.252 0.715
6.813 5.310 6.785
8.466 6.604 3.046
11.089 6.662 9.116
13.365 11.230 8.987
12.288 8.148 5.096
8.291 8.746 6.339
9.491 10.663 7.408
5.788 1.251 2.422
6.988 3.168 3.492
4.203 3.674 7.672
6.126 8.329 7.720
7.382 9.684 3.994
5.545 5.322 3.659
4.830 2.147 0.192
10.449 9.767 9.638
9.734 6.592 6.171
7.897 2.230 5.836
9.153 3.585 2.110
11.076 8.239 2.159
```

Principal peaks in the range 10 to 90 degrees two-theta, by angle:
2θ (°)	intensity
21.1	100
27.1	91
27.3	98
27.4	90
40.5	40
40.9	34
41.4	36
42.9	37

***

Entry 3:
Theoretical powder X-ray diffraction pattern
Compound: Na2ZnGe
Radiation: copper Kα
Structure: DFT lattice parameters and positions (PBE)
No peak broadening, texture or thermal motion is included.

Crystal structure
```
Na2ZnGe
1.0
9.256 0.000 0.000
0.000 7.440 0.000
0.000 0.000 5.533
Na Zn Ge
8 4 4
Cartesian
1.631 1.058 1.383
1.631 6.382 4.150
2.997 2.662 4.150
2.997 4.778 1.383
6.259 2.662 4.150
6.259 4.778 1.383
7.625 1.058 1.383
7.625 6.382 4.150
0.000 3.720 0.000
0.000 3.720 2.767
4.628 0.000 0.000
4.628 0.000 2.767
0.000 1.697 4.150
0.000 5.743 1.383
4.628 2.023 1.383
4.628 5.417 4.150
```

Principal peaks in the range 10 to 90 degrees two-theta, by angle:
2θ (°)	intensity
15.3	54
19.2	100
22.2	68
35.4	78
36.0	54
37.5	39
40.6	50
45.3	58

***

Entry 4:
Theoretical powder X-ray diffraction pattern
Compound: Nb5Ge4
Radiation: copper Kα
Structure: DFT lattice parameters and positions (PBE)
No peak broadening, texture or thermal motion is included.

Crystal structure
```
Nb5Ge4
1.0
6.778 0.000 0.000
0.000 13.245 0.000
0.000 0.000 6.845
Nb Ge
20 16
Cartesian
0.132 1.141 1.199
0.132 5.481 1.199
1.041 8.271 2.298
1.041 11.596 2.298
1.166 3.311 3.478
2.223 9.933 0.056
2.348 1.649 5.720
2.348 4.974 5.720
3.257 7.764 4.622
3.257 12.103 4.622
3.521 1.141 2.223
3.521 5.481 2.223
4.430 8.271 1.124
4.430 11.596 1.124
4.555 3.311 6.789
5.612 9.933 3.366
5.737 1.649 4.546
5.737 4.974 4.546
6.646 7.764 5.645
6.646 12.103 5.645
0.313 3.311 6.134
1.228 9.933 4.520
1.283 0.545 3.659
1.283 6.077 3.659
2.106 7.168 0.237
2.106 12.699 0.237
2.161 3.311 1.098
3.076 9.933 2.712
3.702 3.311 4.132
4.617 9.933 5.747
4.672 0.545 6.608
4.672 6.077 6.608
5.495 7.168 3.185
5.495 12.699 3.185
5.550 3.311 2.325
6.465 9.933 0.710
```

Principal peaks in the range 10 to 90 degrees two-theta, by angle:
2θ (°)	intensity
35.7	100
35.9	81
37.8	36
38.8	33
40.2	33
40.3	46
42.1	66
42.4	54

***

Copy entry 3 word for word.
Theoretical powder X-ray diffraction pattern
Compound: Na2ZnGe
Radiation: copper Kα
Structure: DFT lattice parameters and positions (PBE)
No peak broadening, texture or thermal motion is included.

Crystal structure
```
Na2ZnGe
1.0
9.256 0.000 0.000
0.000 7.440 0.000
0.000 0.000 5.533
Na Zn Ge
8 4 4
Cartesian
1.631 1.058 1.383
1.631 6.382 4.150
2.997 2.662 4.150
2.997 4.778 1.383
6.259 2.662 4.150
6.259 4.778 1.383
7.625 1.058 1.383
7.625 6.382 4.150
0.000 3.720 0.000
0.000 3.720 2.767
4.628 0.000 0.000
4.628 0.000 2.767
0.000 1.697 4.150
0.000 5.743 1.383
4.628 2.023 1.383
4.628 5.417 4.150
```

Principal peaks in the range 10 to 90 degrees two-theta, by angle:
2θ (°)	intensity
15.3	54
19.2	100
22.2	68
35.4	78
36.0	54
37.5	39
40.6	50
45.3	58